(1)
# SmHo3Ga4
Theoretical PXRD pattern, copper Kα. Input: a crystal structure in Alexandria, relaxed with GGA-PBE.

Top 8 peaks for 15 to 90 degrees two-theta, in order of rising 2θ:
| h k l | two_theta | I/Imax |
| --- | --- | --- |
| 0 2 0 | 24.89 | 17 |
| 4 0 0 | 35.48 | 100 |
| 4 0 2 | 51.05 | 18 |
| 2 4 1 | 57.60 | 7 |
| 6 2 1 | 63.71 | 36 |
| 8 0 0 | 75.09 | 11 |
| 8 0 2 | 85.85 | 11 |
| 2 6 1 | 86.00 | 5 |

Cell and atoms:
```
data_SmHo3Ga4
_chemical_formula_sum 'Sm2 Ho6 Ga8'
_space_group_name_H-M_alt 'P m m a'
_space_group_IT_number 51
_space_group_name_Hall '-P 2a 2a'
_cell_length_a 10.1262
_cell_length_b 7.1479
_cell_length_c 5.0628
_cell_angle_alpha 90.00
_cell_angle_beta 90.00
_cell_angle_gamma 90.00
loop_
_atom_site_label
_atom_site_type_symbol
_atom_site_fract_x
_atom_site_fract_y
_atom_site_fract_z
Sm1 Sm 0.0000 0.0000 0.0000
Ho1 Ho 0.0000 0.5000 0.0000
Ho2 Ho 0.2500 0.0000 0.4993
Ho3 Ho 0.2500 0.5000 0.4991
Ga1 Ga 0.0000 0.2556 0.5000
Ga2 Ga 0.2500 0.2556 0.9989
```

---

(2)
# Sm2ThGa6
Theoretical PXRD pattern, copper Kα. Input: a crystal structure in Alexandria, relaxed with GGA-PBE.

Top 8 peaks for 15 to 90 degrees two-theta, in order of rising 2θ:
| h k l | two_theta | I/Imax |
| --- | --- | --- |
| 0 1 3 | 23.19 | 27 |
| 1 1 2 | 27.40 | 65 |
| 1 2 1 | 33.03 | 100 |
| 1 1 4 | 35.85 | 84 |
| 0 0 6 | 39.80 | 24 |
| 2 0 0 | 41.79 | 33 |
| 0 3 3 | 42.60 | 53 |
| 2 3 3 | 61.20 | 36 |

Cell and atoms:
```
data_Sm2ThGa6
_chemical_formula_sum 'Sm4 Th2 Ga12'
_space_group_name_H-M_alt 'I m m m'
_space_group_IT_number 71
_space_group_name_Hall '-I 2 2'
_cell_length_a 4.3234
_cell_length_b 7.2059
_cell_length_c 13.5904
_cell_angle_alpha 90.00
_cell_angle_beta 90.00
_cell_angle_gamma 90.00
loop_
_atom_site_label
_atom_site_type_symbol
_atom_site_fract_x
_atom_site_fract_y
_atom_site_fract_z
Sm1 Sm 0.0000 0.0000 0.1343
Th1 Th 0.0000 0.5000 0.0000
Ga1 Ga 0.0000 0.1842 0.3283
Ga2 Ga 0.0000 0.3206 0.5000
```